Simulated XRD peak list
Compound: Hf2ZrBi3
Radiation: Cu Kα (λ = 1.5418 Å)
Structure: a cell relaxed with PBE
Neutral-atom scattering factors, no anomalous dispersion.

Crystal structure
a = 4.012 Å, b = 10.963 Å, c = 7.123 Å
α = 90.00°, β = 90.00°, γ = 90.00°
Positions (direct):
Hf1 0.000 0.040 0.000
Hf2 0.000 0.960 0.500
Hf3 0.500 0.295 0.979
Hf4 0.500 0.705 0.479
Zr1 0.500 0.394 0.527
Zr2 0.500 0.606 0.027
Bi1 0.000 0.212 0.688
Bi2 0.000 0.435 0.212
Bi3 0.000 0.565 0.712
Bi4 0.000 0.788 0.188
Bi5 0.500 0.123 0.300
Bi6 0.500 0.877 0.800

Largest 6 diffraction maxima, by angle, 10 to 90 degrees two-theta:
| two_theta | intensity |
| --- | --- |
| 27.43 | 69 |
| 30.33 | 100 |
| 34.66 | 96 |
| 35.19 | 50 |
| 35.54 | 79 |
| 45.20 | 51 |



Simulated XRD peak list
Compound: HgBi
Radiation: Cu Kα (λ = 1.5418 Å)
Structure: a cell relaxed with PBE
Neutral-atom scattering factors, no anomalous dispersion.

Crystal structure
a = 6.473 Å, b = 10.628 Å, c = 3.538 Å
α = 90.00°, β = 90.00°, γ = 90.00°
Positions (direct):
Hg1 0.250 0.000 0.000
Hg2 0.250 0.500 0.000
Hg3 0.750 0.000 0.000
Hg4 0.750 0.500 0.000
Bi1 0.179 0.250 0.500
Bi2 0.321 0.750 0.500
Bi3 0.679 0.250 0.500
Bi4 0.821 0.750 0.500

Largest 6 diffraction maxima, by angle, 10 to 90 degrees two-theta:
| two_theta | intensity |
| --- | --- |
| 27.56 | 42 |
| 30.35 | 100 |
| 33.73 | 38 |
| 41.46 | 58 |
| 44.10 | 24 |
| 63.16 | 21 |



Simulated XRD peak list
Compound: Hg3Bi2
Radiation: Cu Kα (λ = 1.5418 Å)
Structure: a cell relaxed with PBE
Neutral-atom scattering factors, no anomalous dispersion.

Crystal structure
a = 5.760 Å, b = 5.760 Å, c = 5.760 Å
α = 84.28°, β = 84.28°, γ = 84.28°
Positions (direct):
Hg1 0.000 0.500 0.500
Hg2 0.500 0.000 0.500
Hg3 0.500 0.500 0.000
Bi1 0.169 0.169 0.169
Bi2 0.831 0.831 0.831

Largest 6 diffraction maxima, by angle, 10 to 90 degrees two-theta:
| two_theta | intensity |
| --- | --- |
| 20.99 | 53 |
| 27.88 | 100 |
| 33.82 | 71 |
| 47.03 | 40 |
| 47.81 | 28 |
| 71.15 | 24 |



Simulated XRD peak list
Compound: HgBi
Radiation: Cu Kα (λ = 1.5418 Å)
Structure: a cell relaxed with PBE
Neutral-atom scattering factors, no anomalous dispersion.

Crystal structure
a = 4.781 Å, b = 4.559 Å, c = 6.220 Å
α = 90.00°, β = 107.04°, γ = 90.00°
Positions (direct):
Hg1 0.246 0.250 0.049
Hg2 0.754 0.750 0.951
Bi1 0.231 0.250 0.547
Bi2 0.769 0.750 0.453

Largest 6 diffraction maxima, by angle, 10 to 90 degrees two-theta:
| two_theta | intensity |
| --- | --- |
| 27.63 | 100 |
| 30.05 | 28 |
| 36.61 | 30 |
| 39.42 | 19 |
| 39.53 | 20 |
| 45.55 | 20 |



Simulated XRD peak list
Compound: HgBi5
Radiation: Cu Kα (λ = 1.5418 Å)
Structure: a cell relaxed with PBE
Neutral-atom scattering factors, no anomalous dispersion.

Crystal structure
a = 4.690 Å, b = 6.588 Å, c = 7.158 Å
α = 96.54°, β = 109.07°, γ = 90.04°
Positions (direct):
Hg1 0.000 0.000 0.000
Bi1 0.325 0.035 0.654
Bi2 0.330 0.507 0.668
Bi3 0.667 0.493 0.332
Bi4 0.673 0.965 0.345
Bi5 0.998 0.500 0.999

Largest 6 diffraction maxima, by angle, 10 to 90 degrees two-theta:
| two_theta | intensity |
| --- | --- |
| 27.27 | 48 |
| 27.54 | 100 |
| 37.33 | 41 |
| 38.38 | 21 |
| 40.90 | 35 |
| 47.72 | 22 |



Simulated XRD peak list
Compound: Hg4Bi
Radiation: Cu Kα (λ = 1.5418 Å)
Structure: a cell relaxed with PBE
Neutral-atom scattering factors, no anomalous dispersion.

Crystal structure
a = 5.006 Å, b = 5.006 Å, c = 9.393 Å
α = 114.23°, β = 114.23°, γ = 41.72°
Positions (direct):
Hg1 0.103 0.103 0.403
Hg2 0.309 0.309 0.205
Hg3 0.691 0.691 0.795
Hg4 0.897 0.897 0.597
Bi1 0.500 0.500 0.000

Largest 6 diffraction maxima, by angle, 10 to 90 degrees two-theta:
| two_theta | intensity |
| --- | --- |
| 29.45 | 57 |
| 30.88 | 100 |
| 36.19 | 33 |
| 39.05 | 54 |
| 39.38 | 26 |
| 47.04 | 32 |



Simulated XRD peak list
Compound: HoHgBi
Radiation: Cu Kα (λ = 1.5418 Å)
Structure: a cell relaxed with PBE
Neutral-atom scattering factors, no anomalous dispersion.

Crystal structure
a = 4.791 Å, b = 4.791 Å, c = 4.333 Å
α = 90.00°, β = 90.00°, γ = 120.00°
Positions (direct):
Ho1 0.000 0.000 0.000
Hg1 0.667 0.333 0.736
Bi1 0.333 0.667 0.408

Largest 6 diffraction maxima, by angle, 10 to 90 degrees two-theta:
| two_theta | intensity |
| --- | --- |
| 29.81 | 100 |
| 37.55 | 56 |
| 47.34 | 27 |
| 48.66 | 26 |
| 63.04 | 25 |
| 74.73 | 14 |



Simulated XRD peak list
Compound: Hg6Bi2I
Radiation: Cu Kα (λ = 1.5418 Å)
Structure: a cell relaxed with PBE
Neutral-atom scattering factors, no anomalous dispersion.

Crystal structure
a = 9.470 Å, b = 9.470 Å, c = 10.141 Å
α = 122.34°, β = 122.34°, γ = 75.68°
Positions (direct):
Hg1 0.021 0.479 0.768
Hg2 0.036 0.111 0.212
Hg3 0.111 0.036 0.712
Hg4 0.390 0.463 0.565
Hg5 0.463 0.390 0.065
Hg6 0.479 0.021 0.268
Hg7 0.521 0.979 0.732
Hg8 0.537 0.610 0.935
Hg9 0.610 0.537 0.435
Hg10 0.889 0.964 0.288
Hg11 0.964 0.889 0.788
Hg12 0.979 0.521 0.232
Bi1 0.235 0.266 0.171
Bi2 0.266 0.235 0.671
Bi3 0.734 0.765 0.329
Bi4 0.765 0.734 0.829
I1 0.250 0.750 0.250
I2 0.750 0.250 0.750

Largest 6 diffraction maxima, by angle, 10 to 90 degrees two-theta:
| two_theta | intensity |
| --- | --- |
| 15.25 | 41 |
| 23.87 | 55 |
| 30.78 | 38 |
| 31.06 | 100 |
| 38.17 | 45 |
| 38.75 | 41 |



Simulated XRD peak list
Compound: Hg2BiI
Radiation: Cu Kα (λ = 1.5418 Å)
Structure: a cell relaxed with PBE
Neutral-atom scattering factors, no anomalous dispersion.

Crystal structure
a = 4.398 Å, b = 9.906 Å, c = 13.615 Å
α = 90.00°, β = 96.63°, γ = 90.00°
Positions (direct):
Hg1 0.106 0.211 0.046
Hg2 0.106 0.289 0.546
Hg3 0.189 0.507 0.360
Hg4 0.189 0.993 0.860
Hg5 0.811 0.007 0.140
Hg6 0.811 0.493 0.640
Hg7 0.894 0.711 0.454
Hg8 0.894 0.789 0.954
Bi1 0.228 0.056 0.431
Bi2 0.228 0.444 0.931
Bi3 0.772 0.556 0.069
Bi4 0.772 0.944 0.569
I1 0.415 0.683 0.739
I2 0.415 0.817 0.239
I3 0.585 0.183 0.761
I4 0.585 0.317 0.261

Largest 6 diffraction maxima, by angle, 10 to 90 degrees two-theta:
| two_theta | intensity |
| --- | --- |
| 25.52 | 59 |
| 26.74 | 37 |
| 27.09 | 35 |
| 29.24 | 100 |
| 32.05 | 34 |
| 38.13 | 40 |



Simulated XRD peak list
Compound: Hg3BiI2
Radiation: Cu Kα (λ = 1.5418 Å)
Structure: a cell relaxed with PBE
Neutral-atom scattering factors, no anomalous dispersion.

Crystal structure
a = 7.712 Å, b = 7.712 Å, c = 9.038 Å
α = 90.00°, β = 90.00°, γ = 64.17°
Positions (direct):
Hg1 0.161 0.839 0.750
Hg2 0.344 0.344 0.000
Hg3 0.344 0.344 0.500
Hg4 0.656 0.656 0.000
Hg5 0.656 0.656 0.500
Hg6 0.839 0.161 0.250
Bi1 0.493 0.507 0.250
Bi2 0.507 0.493 0.750
I1 0.075 0.255 0.750
I2 0.255 0.075 0.250
I3 0.745 0.925 0.750
I4 0.925 0.745 0.250

Largest 6 diffraction maxima, by angle, 10 to 90 degrees two-theta:
| two_theta | intensity |
| --- | --- |
| 12.75 | 33 |
| 21.69 | 46 |
| 23.94 | 35 |
| 30.52 | 100 |
| 33.52 | 33 |
| 43.96 | 45 |



Simulated XRD peak list
Compound: HgBiI2
Radiation: Cu Kα (λ = 1.5418 Å)
Structure: a cell relaxed with PBE
Neutral-atom scattering factors, no anomalous dispersion.

Crystal structure
a = 6.111 Å, b = 6.111 Å, c = 6.091 Å
α = 90.16°, β = 90.16°, γ = 90.21°
Positions (direct):
Hg1 0.000 0.000 0.000
Bi1 0.001 0.999 0.500
I1 0.501 0.002 0.609
I2 0.998 0.499 0.391

Largest 6 diffraction maxima, by angle, 10 to 90 degrees two-theta:
| two_theta | intensity |
| --- | --- |
| 14.50 | 100 |
| 29.25 | 57 |
| 32.77 | 29 |
| 32.85 | 38 |
| 41.77 | 17 |
| 44.48 | 23 |



Simulated XRD peak list
Compound: K2HgBiI6
Radiation: Cu Kα (λ = 1.5418 Å)
Structure: a cell relaxed with PBE
Neutral-atom scattering factors, no anomalous dispersion.

Crystal structure
a = 8.539 Å, b = 8.543 Å, c = 8.825 Å
α = 61.08°, β = 61.10°, γ = 60.03°
Positions (direct):
K1 0.000 0.000 0.000
K2 0.494 0.494 0.516
Hg1 0.207 0.207 0.379
Bi1 0.704 0.703 0.889
I1 0.040 0.857 0.650
I2 0.361 0.555 0.145
I3 0.453 0.040 0.649
I4 0.555 0.938 0.145
I5 0.857 0.453 0.650
I6 0.939 0.361 0.145

Largest 6 diffraction maxima, by angle, 10 to 90 degrees two-theta:
| two_theta | intensity |
| --- | --- |
| 14.44 | 100 |
| 24.12 | 66 |
| 29.11 | 61 |
| 32.22 | 78 |
| 36.44 | 30 |
| 44.94 | 22 |



Simulated XRD peak list
Compound: MnHgBi2I
Radiation: Cu Kα (λ = 1.5418 Å)
Structure: a cell relaxed with PBE
Neutral-atom scattering factors, no anomalous dispersion.

Crystal structure
a = 6.139 Å, b = 6.139 Å, c = 5.031 Å
α = 90.00°, β = 90.00°, γ = 90.00°
Positions (direct):
Mn1 0.000 0.000 0.000
Hg1 0.500 0.500 0.000
Bi1 0.000 0.500 0.500
Bi2 0.500 0.000 0.500
I1 0.000 0.000 0.500

Largest 6 diffraction maxima, by angle, 10 to 90 degrees two-theta:
| two_theta | intensity |
| --- | --- |
| 22.85 | 37 |
| 27.13 | 100 |
| 29.09 | 90 |
| 41.61 | 35 |
| 46.68 | 50 |
| 50.38 | 38 |



Simulated XRD peak list
Compound: Hg6BiSbI2
Radiation: Cu Kα (λ = 1.5418 Å)
Structure: a cell relaxed with PBE
Neutral-atom scattering factors, no anomalous dispersion.

Crystal structure
a = 8.007 Å, b = 8.007 Å, c = 8.014 Å
α = 119.75°, β = 119.75°, γ = 62.70°
Positions (direct):
Hg1 0.195 0.702 0.702
Hg2 0.247 0.247 0.124
Hg3 0.298 0.805 0.298
Hg4 0.702 0.195 0.702
Hg5 0.753 0.753 0.876
Hg6 0.805 0.298 0.298
Bi1 0.500 0.500 0.500
Sb1 0.000 0.000 0.000
I1 0.250 0.250 0.737
I2 0.750 0.750 0.263

Largest 6 diffraction maxima, by angle, 10 to 90 degrees two-theta:
| two_theta | intensity |
| --- | --- |
| 15.34 | 35 |
| 25.40 | 46 |
| 26.41 | 39 |
| 26.73 | 70 |
| 30.96 | 100 |
| 38.87 | 37 |